For Pm3CoC4, DFT lattice parameters and positions (PBE) gives the calculated XRD peak list in this record (Cu Kα (λ = 1.5418 Å)).

Structural model:
a b c (Å): 8.3996 8.3996 4.2202
angles (deg): 98.30 98.30 25.45
Atoms (fractional coordinates):
Pm 0.0000 0.0000 0.0000
Pm 0.1766 0.1766 0.7147
Pm 0.8234 0.8234 0.2853
Co 0.5000 0.5000 0.5000
C 0.3310 0.3310 0.7794
C 0.4032 0.4032 0.6630
C 0.5968 0.5968 0.3370
C 0.6690 0.6690 0.2206

The 10 most intense peaks (2θ = 15–90°), sorted by position:
2θ = 24.7°, intensity 32.3; 2θ = 25.4°, intensity 41.9; 2θ = 28.3°, intensity 48.6; 2θ = 33.2°, intensity 53.4; 2θ = 33.4°, intensity 100.0; 2θ = 34.9°, intensity 37.9; 2θ = 36.9°, intensity 33.9; 2θ = 40.7°, intensity 32.5; 2θ = 43.1°, intensity 23.7; 2θ = 54.1°, intensity 26.4